[1]
LiFePO4: simulated PXRD pattern (Cu Kα (weighted mean of Kα1 and Kα2)), based on a crystal structure in the Materials Project, relaxed with GGA+U.

Largest 10 diffraction maxima, most intense first, 2θ from 5° to 70°:
2θ/deg, d_spacing, I (rel.), (hkl)
17.17, 5.165, 100, 0 1 1
34.77, 2.580, 59, 2 0 0
31.58, 2.833, 53, 0 1 3
25.03, 3.558, 53, 1 -1 1
34.01, 2.636, 40, 1 2 0
38.14, 2.360, 38, -1 2 2
23.72, 3.751, 29, 1 1 -1
18.52, 4.792, 23, 0 0 2
52.92, 1.730, 21, 1 -2 4
39.87, 2.261, 21, 2 -1 1

Crystal structure
```
data_LiFePO4
_chemical_formula_sum 'Li4 Fe4 P4 O16'
_cell_length_a 5.1853
_cell_length_b 6.1316
_cell_length_c 9.6305
_cell_angle_alpha 90.02
_cell_angle_beta 95.63
_cell_angle_gamma 90.10
_symmetry_space_group_name_H-M 'P 1'
_symmetry_Int_Tables_number 1
loop_
_symmetry_equiv_pos_as_xyz
'x,y,z'
loop_
_atom_site_label
_atom_site_type_symbol
_atom_site_fract_x
_atom_site_fract_y
_atom_site_fract_z
Li1 Li 0.0000 0.0000 0.0000
Li2 Li 0.1822 0.5003 0.3536
Li3 Li 0.5002 0.2205 0.4996
Li4 Li 0.6833 0.7201 0.8541
Fe1 Fe 0.0486 0.9736 0.5872
Fe2 Fe 0.1375 0.4728 0.7632
Fe3 Fe 0.5499 0.2479 0.0875
Fe4 Fe 0.6332 0.7475 0.2646
P1 P 0.0836 0.5087 0.0628
P2 P 0.0990 0.0088 0.2900
P3 P 0.5844 0.7121 0.5635
P4 P 0.6000 0.2113 0.7906
O1 O 0.0558 0.6942 0.9529
O2 O 0.0589 0.7949 0.3729
O3 O 0.1230 0.2946 0.9803
O4 O 0.1247 0.1937 0.4008
O5 O 0.3332 0.5289 0.1684
O6 O 0.3385 0.9982 0.2049
O7 O 0.3438 0.7218 0.6485
O8 O 0.3486 0.1927 0.6856
O9 O 0.5586 0.5268 0.4532
O10 O 0.5623 0.4255 0.8730
O11 O 0.6232 0.0263 0.9010
O12 O 0.6227 0.9260 0.4806
O13 O 0.8332 0.6941 0.6692
O14 O 0.8388 0.2207 0.7050
O15 O 0.8444 0.4972 0.1487
O16 O 0.8494 0.0285 0.1849
```


[2]
LiFePO4: simulated PXRD pattern (Cu Kα (weighted mean of Kα1 and Kα2)), based on a crystal structure in the Materials Project, relaxed with GGA+U.

Largest 10 diffraction maxima, most intense first, 2θ from 5° to 70°:
2θ/deg, d_spacing, I (rel.), (hkl)
21.68, 4.100, 100, 2 0 2
34.94, 2.568, 16, 0 2 0
35.11, 2.556, 16, 4 0 0
36.13, 2.486, 9, 2 1 4
43.47, 2.082, 8, 2 0 6
31.55, 2.836, 8, 2 1 3
26.20, 3.402, 7, 2 0 3
37.30, 2.411, 6, 2 0 5
41.35, 2.183, 6, 2 1 5
41.51, 2.175, 6, 2 2 2

Crystal structure
```
data_LiFePO4
_chemical_formula_sum 'Li8 Fe8 P8 O32'
_cell_length_a 10.2230
_cell_length_b 5.1360
_cell_length_c 13.6717
_cell_angle_alpha 90.00
_cell_angle_beta 90.00
_cell_angle_gamma 90.00
_symmetry_space_group_name_H-M 'P c a 21'
_symmetry_Int_Tables_number 29
loop_
_symmetry_equiv_pos_as_xyz
'x,y,z'
'-x,-y,z+1/2'
'-x+1/2,y,z+1/2'
'x+1/2,-y,z'
loop_
_atom_site_label
_atom_site_type_symbol
_atom_site_fract_x
_atom_site_fract_y
_atom_site_fract_z
Li1 Li 0.0331 0.0544 0.0000
Li2 Li 0.2144 0.5501 0.2497
Fe1 Fe 0.0310 0.9335 0.7486
Fe2 Fe 0.2197 0.5481 0.9976
P1 P 0.0314 0.4423 0.6237
P2 P 0.2176 0.0511 0.3753
O1 O 0.0052 0.1435 0.6238
O2 O 0.0306 0.4363 0.0305
O3 O 0.0306 0.4401 0.2176
O4 O 0.0675 0.0028 0.3763
O5 O 0.1805 0.5018 0.6244
O6 O 0.2193 0.9396 0.9699
O7 O 0.2257 0.9158 0.7829
O8 O 0.2491 0.3476 0.3717
```